[1]
# BaLa2Gd
Theoretical X-ray diffraction stick pattern, Cu Kα. Input: DFT lattice parameters and positions (PBE).
Peak positions follow from Bragg's law for the DFT cell and can differ from measured ones.

Structure:
```
data_BaLa2Gd
_cell_length_a 3.8219
_cell_length_b 3.8219
_cell_length_c 11.0591
_cell_angle_alpha 90.00
_cell_angle_beta 90.00
_cell_angle_gamma 90.00
_symmetry_space_group_name_H-M 'P 4/m m m'
_symmetry_Int_Tables_number 123
_symmetry_space_group_name_Hall '-P 4 2'
loop_
_atom_site_label
_atom_site_fract_x
_atom_site_fract_y
_atom_site_fract_z
Ba1 0.0000 0.0000 0.0000
La1 0.5000 0.5000 0.2835
Gd1 0.0000 0.0000 0.5000
```

Main lines, in order of rising 2θ (2θ = 5–70°):
hkl, Position (°2θ), d/Å, Rel. int.
0 0 1, 7.99, 11.059, 9
1 0 2, 28.39, 3.144, 100
0 0 4, 32.38, 2.765, 14
1 1 0, 33.15, 2.703, 36
1 1 4, 47.02, 1.933, 19
2 0 0, 47.56, 1.912, 17
2 1 2, 56.34, 1.633, 29
2 0 4, 58.73, 1.572, 10

[2]
# BaGdMgZn
Theoretical X-ray diffraction stick pattern, Cu Kα. Input: DFT lattice parameters and positions (PBE).
Peak positions follow from Bragg's law for the DFT cell and can differ from measured ones.

Structure:
```
data_BaGdMgZn
_cell_length_a 7.9149
_cell_length_b 7.9149
_cell_length_c 7.9149
_cell_angle_alpha 90.00
_cell_angle_beta 90.00
_cell_angle_gamma 90.00
_symmetry_space_group_name_H-M 'F -4 3 m'
_symmetry_Int_Tables_number 216
_symmetry_space_group_name_Hall 'F -4 2 3'
loop_
_atom_site_label
_atom_site_fract_x
_atom_site_fract_y
_atom_site_fract_z
Ba1 0.0000 0.0000 0.0000
Gd1 0.0000 0.0000 0.5000
Mg1 0.2500 0.2500 0.2500
Zn1 0.2500 0.2500 0.7500
```

Main lines, in order of rising 2θ (2θ = 5–70°):
hkl, Position (°2θ), d/Å, Rel. int.
1 1 1, 19.43, 4.570, 4
2 0 0, 22.47, 3.957, 29
2 2 0, 31.98, 2.798, 100
2 2 2, 39.44, 2.285, 9
4 0 0, 45.86, 1.979, 18
4 2 0, 51.65, 1.770, 13
4 2 2, 57.00, 1.616, 38
4 4 0, 66.87, 1.399, 12